Structure and computed PXRD pattern of Na2Sr8Ca (a GGA-PBE-relaxed structure; CuKα).
Intensities are scaled so that the largest is 100.

Top 12 peaks for 2θ from 10° to 80°, in order of rising 2θ:
- 26.89 deg, intensity 100
- 27.23 deg, intensity 27
- 27.34 deg, intensity 23
- 37.81 deg, intensity 9
- 38.97 deg, intensity 18
- 47.24 deg, intensity 19
- 47.90 deg, intensity 12
- 47.91 deg, intensity 10
- 48.05 deg, intensity 17
- 55.42 deg, intensity 11
- 61.83 deg, intensity 8
- 63.46 deg, intensity 7

Unit cell a=11.3661 b=11.3661 c=7.8472 alpha=91.34 beta=91.34 gamma=33.50
Sites, in units of the cell vectors:
Na 0.1382 0.1382 0.1666
Na 0.8618 0.8618 0.8334
Sr 0.0376 0.0376 0.7463
Sr 0.2173 0.2173 0.6112
Sr 0.3180 0.3180 0.0799
Sr 0.4075 0.4075 0.5565
Sr 0.5925 0.5925 0.4435
Sr 0.6820 0.6820 0.9201
Sr 0.7827 0.7827 0.3888
Sr 0.9624 0.9624 0.2537
Ca 0.5000 0.5000 0.0000